The following is a theoretical powder X-ray diffraction pattern of Ag3AuS2. It was derived from DFT lattice parameters and positions (GGA-PBE), using Cu Kα, 1.54184 Å.
Kinematic intensities with the Lorentz-polarization factor, no thermal factor.

Cell and atoms:
Cell: 9.8744 9.8744 9.8744 Å, 90.00 90.00 90.00°
Element x y z (fractional)
Ag 0.0009 0.2515 0.3842
Ag 0.0015 0.2509 0.8658
Ag 0.1158 0.9991 0.7515
Ag 0.1342 0.5015 0.2491
Ag 0.2491 0.1342 0.5015
Ag 0.2485 0.6158 0.5009
Ag 0.2515 0.3842 0.0009
Ag 0.2509 0.8658 0.0015
Ag 0.3658 0.4985 0.7491
Ag 0.3842 0.0009 0.2515
Ag 0.4985 0.7491 0.3658
Ag 0.4991 0.7485 0.8842
Ag 0.5015 0.2491 0.1342
Ag 0.5009 0.2485 0.6158
Ag 0.6158 0.5009 0.2485
Ag 0.6342 0.9985 0.7509
Ag 0.7491 0.3658 0.4985
Ag 0.7485 0.8842 0.4991
Ag 0.7515 0.1158 0.9991
Ag 0.7509 0.6342 0.9985
Ag 0.8658 0.0015 0.2509
Ag 0.8842 0.4991 0.7485
Ag 0.9991 0.7515 0.1158
Ag 0.9985 0.7509 0.6342
Au 0.1221 0.8779 0.3779
Au 0.1279 0.1279 0.1279
Au 0.3721 0.8721 0.6279
Au 0.3779 0.1221 0.8779
Au 0.6221 0.6221 0.6221
Au 0.6279 0.3721 0.8721
Au 0.8721 0.6279 0.3721
Au 0.8779 0.3779 0.1221
S 0.0108 0.4892 0.5108
S 0.0165 0.5165 0.9835
S 0.2335 0.7335 0.7665
S 0.2392 0.2608 0.7392
S 0.2608 0.7392 0.2392
S 0.2665 0.2665 0.2665
S 0.4835 0.4835 0.4835
S 0.4892 0.5108 0.0108
S 0.5108 0.0108 0.4892
S 0.5165 0.9835 0.0165
S 0.7335 0.7665 0.2335
S 0.7392 0.2392 0.2608
S 0.7608 0.7608 0.7608
S 0.7665 0.2335 0.7335
S 0.9835 0.0165 0.5165
S 0.9892 0.9892 0.9892

Most intense lines, 10 to 90 degrees two-theta, in order of rising 2θ:
d 6.982, I = 38; d 3.123, I = 21; d 2.850, I = 18; d 2.639, I = 100; d 2.327, I = 13; d 2.208, I = 32; d 2.016, I = 14; d 1.937, I = 11; d 1.803, I = 31; d 1.456, I = 14; d 1.425, I = 12; d 1.254, I = 19

***

The following is a theoretical powder X-ray diffraction pattern of TaN2. It was derived from DFT lattice parameters and positions (GGA-PBE), using Cu Kα, 1.54184 Å.
Kinematic intensities with the Lorentz-polarization factor, no thermal factor.

Cell and atoms:
Cell: 3.0702 3.0702 7.7699 Å, 90.00 90.00 120.00°
Element x y z (fractional)
Ta 0.3333 0.6667 0.2500
Ta 0.6667 0.3333 0.7500
N 0.0000 0.0000 0.0908
N 0.0000 0.0000 0.4092
N 0.0000 0.0000 0.5908
N 0.0000 0.0000 0.9092

Most intense lines, 10 to 90 degrees two-theta, in order of rising 2θ:
d 3.885, I = 59; d 2.659, I = 9; d 2.516, I = 100; d 2.194, I = 28; d 1.855, I = 41; d 1.568, I = 11; d 1.535, I = 18; d 1.428, I = 21; d 1.342, I = 14; d 1.310, I = 13; d 1.204, I = 12; d 1.183, I = 10

***

The following is a theoretical powder X-ray diffraction pattern of GdMg2. It was derived from DFT lattice parameters and positions (GGA-PBE), using Cu Kα, 1.54184 Å.
Kinematic intensities with the Lorentz-polarization factor, no thermal factor.

Cell and atoms:
Cell: 6.0199 6.0199 6.0199 Å, 60.00 60.00 60.00°
Element x y z (fractional)
Gd 0.1250 0.1250 0.1250
Gd 0.8750 0.8750 0.8750
Mg 0.0000 0.5000 0.5000
Mg 0.5000 0.0000 0.5000
Mg 0.5000 0.5000 0.0000
Mg 0.5000 0.5000 0.5000

Most intense lines, 10 to 90 degrees two-theta, in order of rising 2θ:
d 4.915, I = 63; d 3.010, I = 100; d 2.567, I = 99; d 1.953, I = 17; d 1.738, I = 41; d 1.638, I = 34; d 1.505, I = 22; d 1.439, I = 13; d 1.346, I = 17; d 1.298, I = 11; d 1.138, I = 21; d 1.108, I = 21

***

The following is a theoretical powder X-ray diffraction pattern of CeSe2. It was derived from DFT lattice parameters and positions (GGA-PBE), using Cu Kα, 1.54184 Å.
Kinematic intensities with the Lorentz-polarization factor, no thermal factor.

Cell and atoms:
Cell: 14.3343 14.3343 5.8097 Å, 90.00 90.00 120.00°
Element x y z (fractional)
Ce 0.0000 0.3363 0.2290
Ce 0.0000 0.6637 0.7710
Ce 0.3363 0.0000 0.2290
Ce 0.3363 0.3363 0.7710
Ce 0.6637 0.0000 0.7710
Ce 0.6637 0.6637 0.2290
Se 0.0000 0.5000 0.0000
Se 0.0000 0.5000 0.5000
Se 0.1674 0.3347 0.0000
Se 0.1674 0.8326 0.0000
Se 0.3347 0.1674 0.0000
Se 0.5000 0.0000 0.0000
Se 0.5000 0.0000 0.5000
Se 0.5000 0.5000 0.0000
Se 0.5000 0.5000 0.5000
Se 0.6653 0.8326 0.0000
Se 0.8326 0.1674 0.0000
Se 0.8326 0.6653 0.0000

Most intense lines, 10 to 90 degrees two-theta, in order of rising 2θ:
d 7.167, I = 100; d 5.810, I = 14; d 4.513, I = 72; d 4.138, I = 14; d 3.050, I = 33; d 2.709, I = 19; d 2.455, I = 29; d 2.377, I = 30; d 2.257, I = 39; d 2.069, I = 25; d 1.881, I = 13; d 1.845, I = 15

***

The following is a theoretical powder X-ray diffraction pattern of Dy2Si5Ni3. It was derived from DFT lattice parameters and positions (GGA-PBE), using Cu Kα, 1.54184 Å.
Kinematic intensities with the Lorentz-polarization factor, no thermal factor.

Cell and atoms:
Cell: 7.8650 7.8650 7.8650 Å, 105.01 89.93 137.93°
Element x y z (fractional)
Dy 0.1313 0.2366 0.3678
Dy 0.3687 0.7366 0.1053
Dy 0.6313 0.2634 0.8947
Dy 0.8687 0.7634 0.6322
Si 0.0168 0.7500 0.2668
Si 0.1073 0.6527 0.7600
Si 0.2500 0.2500 0.0000
Si 0.3927 0.1527 0.5454
Si 0.4832 0.7500 0.7332
Si 0.5168 0.2500 0.2668
Si 0.6073 0.8473 0.4546
Si 0.7500 0.7500 0.0000
Si 0.8927 0.3473 0.2400
Si 0.9832 0.2500 0.7332
Ni 0.1344 0.8879 0.0223
Ni 0.2500 0.7500 0.5000
Ni 0.3656 0.3879 0.7535
Ni 0.6344 0.6121 0.2465
Ni 0.7500 0.2500 0.5000
Ni 0.8656 0.1121 0.9777

Most intense lines, 10 to 90 degrees two-theta, in order of rising 2θ:
d 4.787, I = 17; d 3.662, I = 50; d 2.823, I = 24; d 2.782, I = 22; d 2.486, I = 100; d 2.432, I = 54; d 2.406, I = 50; d 1.982, I = 55; d 1.724, I = 27; d 1.557, I = 23; d 1.543, I = 21; d 1.218, I = 11